Entry 1:
For Pr2ErBr2N2, the GGA-PBE geometry in Alexandria gives the computed X-ray powder pattern in this record (Cu Kα, 1.54184 Å).

Structure:
Cell lengths 4.470, 4.470, 16.907 Å; angles 90.00, 90.00, 90.00 degrees
Sites, in units of the cell vectors:
1 Pr 0.000 0.000 0.089
2 Pr 0.000 0.000 0.911
3 Pr 0.500 0.500 0.411
4 Pr 0.500 0.500 0.589
5 Er 0.000 0.000 0.500
6 Er 0.500 0.500 0.000
7 Br 0.000 0.000 0.326
8 Br 0.000 0.000 0.674
9 Br 0.500 0.500 0.174
10 Br 0.500 0.500 0.826
11 N 0.000 0.500 0.000
12 N 0.000 0.500 0.500
13 N 0.500 0.000 0.000
14 N 0.500 0.000 0.500

Main lines, by angle (2θ from 10° to 80°):
d_spacing  2theta  I/Imax
8.453  10.46  65
3.161  28.23  89
2.961  30.18  12
2.697  33.22  100
2.235  40.35  41
2.125  42.54  28
1.721  53.23  52
1.581  58.39  13
1.540  60.08  20
1.414  66.09  16

---

Entry 2:
For NaErBr3, the GGA-PBE geometry in Alexandria gives the computed X-ray powder pattern in this record (Cu Kα, 1.54184 Å).

Structure:
Cell lengths 7.849, 7.849, 6.634 Å; angles 90.01, 90.01, 59.95 degrees
Sites, in units of the cell vectors:
1 Na 0.167 0.167 0.250
2 Na 0.833 0.833 0.750
3 Er 0.500 0.500 0.000
4 Er 0.500 0.500 0.500
5 Br 0.161 0.669 0.250
6 Br 0.331 0.331 0.750
7 Br 0.331 0.839 0.750
8 Br 0.669 0.161 0.250
9 Br 0.669 0.669 0.250
10 Br 0.839 0.331 0.750

Main lines, by angle (2θ from 10° to 80°):
d_spacing  2theta  I/Imax
6.796  13.03  100
3.024  29.54  45
2.981  29.98  16
2.568  34.93  22
2.533  35.44  25
2.374  37.91  38
1.962  46.28  22
1.871  48.68  10
1.853  49.16  11
1.267  74.99  10

---

Entry 3:
For Er2Br2O, the GGA-PBE geometry in Alexandria gives the computed X-ray powder pattern in this record (Cu Kα, 1.54184 Å).

Structure:
Cell lengths 4.092, 4.092, 13.583 Å; angles 90.00, 90.00, 90.00 degrees
Sites, in units of the cell vectors:
1 Er 0.000 0.000 0.150
2 Er 0.000 0.000 0.850
3 Br 0.000 0.000 0.340
4 Br 0.000 0.000 0.660
5 O 0.000 0.000 0.000

Main lines, by angle (2θ from 10° to 80°):
d_spacing  2theta  I/Imax
4.092  21.72  100
3.396  26.24  15
2.894  30.90  41
2.613  34.32  30
2.202  40.98  19
2.046  44.27  15
1.981  45.81  20
1.830  49.83  21
1.783  51.24  14
1.611  57.18  17

---

Entry 4:
For ErBrO, the GGA-PBE geometry in Alexandria gives the computed X-ray powder pattern in this record (Cu Kα, 1.54184 Å).

Structure:
Cell lengths 3.810, 3.810, 9.246 Å; angles 90.00, 90.00, 90.00 degrees
Sites, in units of the cell vectors:
1 Er 0.250 0.250 0.121
2 Er 0.750 0.750 0.879
3 Br 0.250 0.250 0.697
4 Br 0.750 0.750 0.303
5 O 0.250 0.750 0.000
6 O 0.750 0.250 0.000

Main lines, by angle (2θ from 10° to 80°):
d_spacing  2theta  I/Imax
2.940  30.40  100
2.694  33.26  45
2.586  34.69  9
2.396  37.54  34
1.905  47.75  21
1.754  52.14  12
1.599  57.66  33
1.525  60.75  15
1.491  62.27  16
1.205  79.57  8